Starting from a crystal structure in Alexandria, relaxed with PBE+U, the powder diffraction line list of Er2AlCrO6 was computed for Cu Ka.
Kinematic intensities with the Lorentz-polarization factor, no thermal factor.

Principal peaks in the range 15° ≤ 2θ ≤ 90°, in order of rising 2θ:
21.75°, rel. 343, (0 0 1); 23.84°, rel. 345, (1 1 0); 32.49°, rel. 1000, (1 1 1); 33.97°, rel. 454, (2 0 0); 40.70°, rel. 397, (2 0 1); 48.79°, rel. 283, (2 2 0); 50.96°, rel. 215, (1 1 2); 54.02°, rel. 124, (2 2 1); 57.01°, rel. 214, (2 0 2); 59.85°, rel. 354, (3 1 1); 68.04°, rel. 107, (2 2 2); 73.23°, rel. 144, (3 1 2)

Cell and atoms:
Cell: 5.279 5.279 4.086 Å, 90.00 90.00 90.00°
Space group P4mm (No. 99)
Unique sites:
Er (0.000, 0.500, 0.000) x2
Al (0.000, 0.000, 0.584) x1
Cr (0.500, 0.500, 0.608) x1
O (0.000, 0.000, 0.142) x1
O (0.243, 0.243, 0.668) x4
O (0.500, 0.500, 0.124) x1